For Cd5Sb, a DFT-relaxed cell (GGA-PBE, Alexandria) gives the computed powder diffraction line list in this record (Cu Ka).

Top 6 peaks for 10° ≤ 2θ ≤ 80°, low angle first:
| Position (°2θ) | I_rel |
| --- | --- |
| 31.11 | 34.6 |
| 33.02 | 22.2 |
| 36.62 | 100.0 |
| 46.00 | 17.2 |
| 58.99 | 39.6 |
| 68.18 | 20.2 |

Cell and atoms:
```
Cd5Sb
1.0
5.4263 0.0000 0.0000
-2.7132 4.6993 0.0000
0.0000 0.0000 5.7495
Cd Sb
5 1
Direct
0.0000 0.6693 0.0000
0.3307 0.3307 0.0000
0.3333 0.6667 0.5000
0.6667 0.3333 0.5000
0.6693 0.0000 0.0000
0.0000 0.0000 0.5000
```


For KInPb, a DFT-relaxed cell (GGA-PBE, Alexandria) gives the computed powder diffraction line list in this record (Cu Ka).

Top 6 peaks for 10° ≤ 2θ ≤ 80°, low angle first:
| Position (°2θ) | I_rel |
| --- | --- |
| 19.46 | 41.5 |
| 22.24 | 55.4 |
| 29.08 | 68.3 |
| 34.05 | 100.0 |
| 38.02 | 61.3 |
| 40.57 | 47.7 |

Cell and atoms:
```
KInPb
1.0
5.2661 0.0000 0.0000
-2.6330 4.5606 0.0000
0.0000 0.0000 8.3075
K In Pb
2 2 2
Direct
0.0000 0.0000 0.0000
0.0000 0.0000 0.5000
0.3333 0.6667 0.3027
0.6667 0.3333 0.8027
0.3333 0.6667 0.7006
0.6667 0.3333 0.2006
```


For Ca3TmU3As8, a DFT-relaxed cell (GGA-PBE, Alexandria) gives the computed powder diffraction line list in this record (Cu Ka).

Top 6 peaks for 10° ≤ 2θ ≤ 80°, low angle first:
| Position (°2θ) | I_rel |
| --- | --- |
| 12.96 | 62.0 |
| 25.35 | 29.7 |
| 30.55 | 100.0 |
| 43.51 | 36.4 |
| 43.98 | 37.1 |
| 54.50 | 19.4 |

Cell and atoms:
```
Ca3TmU3As8
1.0
4.1175 2.3772 6.8284
-4.1175 2.3772 6.8284
0.0000 -4.7545 6.8284
Ca Tm U As
3 1 3 8
Direct
0.0000 0.5000 0.5000
0.5000 0.0000 0.5000
0.5000 0.5000 0.0000
0.5000 0.5000 0.5000
0.0000 0.0000 0.5000
0.0000 0.5000 0.0000
0.5000 0.0000 0.0000
0.2306 0.7475 0.7475
0.2439 0.2439 0.2439
0.2525 0.2525 0.7694
0.2525 0.7694 0.2525
0.7475 0.2306 0.7475
0.7475 0.7475 0.2306
0.7561 0.7561 0.7561
0.7694 0.2525 0.2525
```


For Tb2B10Ru, a DFT-relaxed cell (GGA-PBE, Alexandria) gives the computed powder diffraction line list in this record (Cu Ka).

Top 6 peaks for 10° ≤ 2θ ≤ 80°, low angle first:
| Position (°2θ) | I_rel |
| --- | --- |
| 22.08 | 72.3 |
| 30.87 | 100.0 |
| 38.22 | 49.3 |
| 38.35 | 53.5 |
| 45.05 | 31.7 |
| 49.20 | 27.6 |

Cell and atoms:
```
Tb2B10Ru
1.0
5.7063 0.0000 0.0000
0.0000 11.3562 0.0000
0.0000 0.0000 4.1717
Tb B Ru
4 20 2
Direct
0.2217 0.1304 0.0000
0.2783 0.6304 0.0000
0.7217 0.3696 0.0000
0.7783 0.8696 0.0000
0.0574 0.3075 0.5000
0.1197 0.9583 0.5000
0.1342 0.8025 0.5000
0.2225 0.3813 0.1996
0.2225 0.3813 0.8004
0.2775 0.8813 0.1996
0.2775 0.8813 0.8004
0.3658 0.3025 0.5000
0.3803 0.4583 0.5000
0.4426 0.8075 0.5000
0.5574 0.1925 0.5000
0.6197 0.5417 0.5000
0.6342 0.6975 0.5000
0.7225 0.1187 0.1996
0.7225 0.1187 0.8004
0.7775 0.6187 0.1996
0.7775 0.6187 0.8004
0.8658 0.1975 0.5000
0.8803 0.0417 0.5000
0.9426 0.6925 0.5000
0.0000 0.5000 0.5000
0.5000 0.0000 0.5000
```


For TmInPd3, a DFT-relaxed cell (GGA-PBE, Alexandria) gives the computed powder diffraction line list in this record (Cu Ka).

Top 6 peaks for 10° ≤ 2θ ≤ 80°, low angle first:
| Position (°2θ) | I_rel |
| --- | --- |
| 29.85 | 73.6 |
| 35.76 | 100.0 |
| 36.35 | 86.3 |
| 37.27 | 56.3 |
| 38.15 | 71.9 |
| 49.34 | 36.3 |

Cell and atoms:
```
TmInPd3
1.0
7.9888 0.0000 0.0000
0.0000 7.3892 0.0000
0.0000 0.0000 6.6372
Tm In Pd
4 4 12
Direct
0.1320 0.2500 0.0704
0.3680 0.7500 0.5704
0.6320 0.2500 0.4296
0.8680 0.7500 0.9296
0.0000 0.0000 0.5000
0.0000 0.5000 0.5000
0.5000 0.0000 0.0000
0.5000 0.5000 0.0000
0.1308 0.7500 0.2176
0.1754 0.5575 0.8479
0.1754 0.9425 0.8479
0.3246 0.0575 0.3479
0.3246 0.4425 0.3479
0.3692 0.2500 0.7176
0.6308 0.7500 0.2824
0.6754 0.5575 0.6521
0.6754 0.9425 0.6521
0.8246 0.0575 0.1521
0.8246 0.4425 0.1521
0.8692 0.2500 0.7824
```